[1]
# Ca8Ti2Mn6O21
Simulated X-ray diffraction stick pattern, Cu Kα. Input: a PBE+U-relaxed structure.

Most intense lines, 10° ≤ 2θ ≤ 90°, by angle:
11.37 deg, rel. 13
22.85 deg, rel. 27
32.31 deg, rel. 100
32.40 deg, rel. 42
32.53 deg, rel. 73
46.08 deg, rel. 31
46.66 deg, rel. 54
57.61 deg, rel. 14
57.89 deg, rel. 31
67.63 deg, rel. 18

Atomic structure:
```
Ca8Ti2Mn6O21
1.0
7.779 0.000 0.000
0.000 7.791 0.000
-0.028 0.000 7.880
Ca Ti Mn O
8 2 6 21
direct
0.000 0.225 0.000
0.000 0.775 0.000
0.001 0.234 0.476
0.001 0.766 0.476
0.553 0.265 0.473
0.553 0.735 0.473
0.560 0.225 0.953
0.560 0.775 0.953
0.258 0.500 0.196
0.259 0.500 0.729
0.241 0.000 0.231
0.264 0.000 0.729
0.747 0.000 0.222
0.749 0.500 0.211
0.761 0.000 0.715
0.791 0.500 0.709
0.066 0.500 0.598
0.165 0.296 0.251
0.165 0.704 0.251
0.208 0.000 0.971
0.209 0.000 0.489
0.218 0.500 0.967
0.251 0.247 0.732
0.251 0.753 0.732
0.481 0.500 0.259
0.491 0.500 0.664
0.492 0.000 0.202
0.514 0.000 0.741
0.744 0.252 0.207
0.744 0.748 0.207
0.760 0.000 0.477
0.767 0.500 0.455
0.777 0.500 0.964
0.778 0.000 0.957
0.790 0.247 0.717
0.790 0.753 0.717
0.991 0.000 0.221
```

[2]
# Mo3NO9
Simulated X-ray diffraction stick pattern, Cu Kα. Input: a PBE+U-relaxed structure.

Most intense lines, 10° ≤ 2θ ≤ 90°, by angle:
18.17 deg, rel. 38
24.12 deg, rel. 100
25.39 deg, rel. 51
28.54 deg, rel. 54
34.04 deg, rel. 40
42.43 deg, rel. 29
44.24 deg, rel. 15
54.60 deg, rel. 17
54.81 deg, rel. 19
55.47 deg, rel. 16

Atomic structure:
```
Mo3NO9
1.0
11.274 0.000 0.000
-5.637 9.763 0.000
0.000 0.000 3.760
Mo N O
6 2 18
direct
0.024 0.798 0.000
0.132 0.441 0.500
0.202 0.226 0.000
0.309 0.868 0.500
0.559 0.691 0.500
0.774 0.976 0.000
0.667 0.333 0.353
0.667 0.333 0.647
0.092 0.835 0.500
0.165 0.056 0.000
0.165 0.257 0.500
0.169 0.410 0.000
0.169 0.611 0.500
0.241 0.831 0.000
0.376 0.315 0.000
0.389 0.558 0.500
0.394 0.043 0.500
0.442 0.831 0.500
0.590 0.759 0.000
0.649 0.606 0.500
0.685 0.061 0.000
0.743 0.908 0.500
0.891 0.835 0.000
0.939 0.624 0.000
0.944 0.109 0.000
0.957 0.351 0.500
```

[3]
# Mn2GeO4
Simulated X-ray diffraction stick pattern, Cu Kα. Input: a PBE+U-relaxed structure.

Most intense lines, 10° ≤ 2θ ≤ 90°, by angle:
19.09 deg, rel. 27
33.10 deg, rel. 96
33.52 deg, rel. 26
35.38 deg, rel. 26
35.51 deg, rel. 100
46.43 deg, rel. 29
49.53 deg, rel. 52
60.52 deg, rel. 35
61.58 deg, rel. 17
71.72 deg, rel. 19

Atomic structure:
```
Mn2GeO4
1.0
5.347 0.000 0.000
0.000 9.414 0.000
0.000 0.000 3.012
Mn Ge O
4 2 8
direct
0.064 0.177 0.000
0.436 0.677 0.000
0.564 0.323 0.000
0.936 0.823 0.000
0.000 0.500 0.500
0.500 0.000 0.500
0.130 0.687 0.500
0.231 0.457 0.000
0.269 0.957 0.000
0.370 0.187 0.500
0.630 0.813 0.500
0.731 0.043 0.000
0.769 0.543 0.000
0.870 0.313 0.500
```

[4]
# PrEuNbCrO6
Simulated X-ray diffraction stick pattern, Cu Kα. Input: a PBE+U-relaxed structure.

Most intense lines, 10° ≤ 2θ ≤ 90°, by angle:
22.25 deg, rel. 8
31.67 deg, rel. 100
39.04 deg, rel. 13
45.39 deg, rel. 31
51.11 deg, rel. 4
56.40 deg, rel. 39
66.14 deg, rel. 19
75.19 deg, rel. 17
79.56 deg, rel. 4
83.87 deg, rel. 6

Atomic structure:
```
PrEuNbCrO6
1.0
0.000 3.996 3.996
3.996 0.000 3.996
3.996 3.996 0.000
Pr Eu Nb Cr O
1 1 1 1 6
direct
0.000 0.000 0.000
0.500 0.500 0.500
0.750 0.750 0.750
0.250 0.250 0.250
0.003 0.003 0.497
0.003 0.497 0.003
0.003 0.497 0.497
0.497 0.003 0.003
0.497 0.003 0.497
0.497 0.497 0.003
```

[5]
# Li3Si2Ni2O8
Simulated X-ray diffraction stick pattern, Cu Kα. Input: a PBE+U-relaxed structure.

Most intense lines, 10° ≤ 2θ ≤ 90°, by angle:
21.60 deg, rel. 58
21.89 deg, rel. 46
22.28 deg, rel. 100
28.26 deg, rel. 15
32.01 deg, rel. 19
32.43 deg, rel. 27
34.33 deg, rel. 38
35.73 deg, rel. 41
36.80 deg, rel. 20
56.07 deg, rel. 15

Atomic structure:
```
Li3Si2Ni2O8
1.0
6.562 0.000 0.000
0.000 5.026 0.000
-0.145 0.000 10.449
Li Si Ni O
6 4 4 16
direct
0.000 0.046 0.000
0.000 0.954 0.500
0.252 0.440 0.923
0.252 0.560 0.423
0.750 0.072 0.244
0.750 0.928 0.744
0.003 0.442 0.671
0.003 0.558 0.171
0.497 0.073 0.492
0.497 0.927 0.992
0.264 0.076 0.242
0.264 0.924 0.742
0.739 0.444 0.921
0.739 0.556 0.421
0.001 0.454 0.022
0.001 0.546 0.522
0.025 0.109 0.678
0.025 0.891 0.178
0.205 0.432 0.247
0.205 0.568 0.747
0.289 0.047 0.915
0.289 0.953 0.415
0.488 0.018 0.145
0.488 0.982 0.645
0.490 0.393 0.479
0.490 0.607 0.979
0.709 0.045 0.930
0.709 0.955 0.430
0.802 0.461 0.246
0.802 0.539 0.746
```

[6]
# Rb2SrV4O12
Simulated X-ray diffraction stick pattern, Cu Kα. Input: a PBE+U-relaxed structure.

Most intense lines, 10° ≤ 2θ ≤ 90°, by angle:
19.38 deg, rel. 27
27.45 deg, rel. 100
31.70 deg, rel. 31
32.00 deg, rel. 11
41.00 deg, rel. 10
45.44 deg, rel. 14
45.67 deg, rel. 13
53.91 deg, rel. 22
54.31 deg, rel. 13
56.66 deg, rel. 11

Atomic structure:
```
Rb2SrV4O12
1.0
11.290 0.000 0.000
0.000 11.290 0.000
0.000 0.000 5.593
Rb Sr V O
4 2 8 24
direct
0.000 0.000 0.000
0.000 0.500 0.000
0.500 0.000 0.000
0.500 0.500 0.000
0.250 0.250 0.000
0.750 0.750 0.000
0.028 0.750 0.500
0.250 0.528 0.500
0.250 0.972 0.500
0.472 0.750 0.500
0.528 0.250 0.500
0.750 0.028 0.500
0.750 0.472 0.500
0.972 0.250 0.500
0.056 0.225 0.258
0.056 0.275 0.742
0.121 0.621 0.558
0.121 0.879 0.442
0.225 0.056 0.742
0.225 0.444 0.258
0.275 0.056 0.258
0.275 0.444 0.742
0.379 0.621 0.442
0.379 0.879 0.558
0.444 0.225 0.742
0.444 0.275 0.258
0.556 0.725 0.742
0.556 0.775 0.258
0.621 0.121 0.442
0.621 0.379 0.558
0.725 0.556 0.258
0.725 0.944 0.742
0.775 0.556 0.742
0.775 0.944 0.258
0.879 0.121 0.558
0.879 0.379 0.442
0.944 0.725 0.258
0.944 0.775 0.742
```